# 1
Na12LiCd3: theoretical powder X-ray diffraction pattern (Cu Kα X-rays), based on a crystal structure in Alexandria, relaxed with GGA-PBE.
Intensities are scaled so that the largest is 100.

Most intense lines, 2θ = 15–90°, by angle:
d = 4.994 Å, I 30
d = 4.913 Å, I 14
d = 3.531 Å, I 13
d = 3.502 Å, I 26
d = 2.867 Å, I 100
d = 2.497 Å, I 34
d = 2.456 Å, I 16
d = 1.751 Å, I 22
d = 1.503 Å, I 25
d = 1.485 Å, I 12

```
Na12LiCd3
1.0
4.994 0.000 0.000
0.000 4.994 0.000
0.000 0.000 19.650
Na Li Cd
12 1 3
Direct
0.000 0.000 0.000 Na
0.000 0.000 0.247 Na
0.000 0.000 0.500 Na
0.000 0.000 0.753 Na
0.000 0.500 0.124 Na
0.000 0.500 0.371 Na
0.000 0.500 0.629 Na
0.000 0.500 0.876 Na
0.500 0.000 0.124 Na
0.500 0.000 0.371 Na
0.500 0.000 0.629 Na
0.500 0.000 0.876 Na
0.500 0.500 0.500 Li
0.500 0.500 0.000 Cd
0.500 0.500 0.248 Cd
0.500 0.500 0.752 Cd
```

# 2
NaLi5Cd3: theoretical powder X-ray diffraction pattern (Cu Kα X-rays), based on a crystal structure in Alexandria, relaxed with GGA-PBE.
Intensities are scaled so that the largest is 100.

Most intense lines, 2θ = 15–90°, by angle:
d = 4.250 Å, I 22
d = 3.425 Å, I 100
d = 2.892 Å, I 14
d = 2.454 Å, I 37
d = 2.391 Å, I 22
d = 1.994 Å, I 19
d = 1.871 Å, I 21
d = 1.756 Å, I 14
d = 1.548 Å, I 14
d = 1.246 Å, I 8

```
NaLi5Cd3
1.0
8.499 0.000 0.000
-4.250 7.361 0.000
0.000 0.000 5.784
Na Li Cd
2 10 6
Direct
0.000 0.000 0.000 Na
0.000 0.000 0.500 Na
0.000 0.324 0.250 Li
0.000 0.676 0.750 Li
0.324 0.000 0.250 Li
0.324 0.324 0.750 Li
0.333 0.667 0.000 Li
0.333 0.667 0.500 Li
0.667 0.333 0.000 Li
0.667 0.333 0.500 Li
0.676 0.000 0.750 Li
0.676 0.676 0.250 Li
0.000 0.355 0.750 Cd
0.000 0.645 0.250 Cd
0.355 0.000 0.750 Cd
0.355 0.355 0.250 Cd
0.645 0.000 0.250 Cd
0.645 0.645 0.750 Cd
```

# 3
NaLi5Cd6: theoretical powder X-ray diffraction pattern (Cu Kα X-rays), based on a crystal structure in Alexandria, relaxed with GGA-PBE.
Intensities are scaled so that the largest is 100.

Most intense lines, 2θ = 15–90°, by angle:
d = 3.559 Å, I 52
d = 3.320 Å, I 94
d = 2.428 Å, I 100
d = 2.354 Å, I 25
d = 2.341 Å, I 27
d = 1.963 Å, I 20
d = 1.956 Å, I 19
d = 1.660 Å, I 18
d = 1.504 Å, I 15
d = 1.373 Å, I 15

```
NaLi5Cd6
1.0
-2.354 3.559 7.023
2.354 -3.559 7.023
2.354 3.559 -7.023
Na Li Cd
1 5 6
Direct
0.000 0.000 0.000 Na
0.157 0.657 0.500 Li
0.329 0.329 0.000 Li
0.500 0.000 0.500 Li
0.671 0.671 0.000 Li
0.843 0.343 0.500 Li
0.093 0.826 0.267 Cd
0.277 0.500 0.777 Cd
0.441 0.174 0.267 Cd
0.559 0.826 0.733 Cd
0.723 0.500 0.223 Cd
0.907 0.174 0.733 Cd
```

# 4
Na2LiCd6: theoretical powder X-ray diffraction pattern (Cu Kα X-rays), based on a crystal structure in Alexandria, relaxed with GGA-PBE.
Intensities are scaled so that the largest is 100.

Most intense lines, 2θ = 15–90°, by angle:
d = 5.874 Å, I 21
d = 4.087 Å, I 33
d = 2.937 Å, I 18
d = 2.845 Å, I 25
d = 2.610 Å, I 13
d = 2.560 Å, I 100
d = 2.043 Å, I 31
d = 1.643 Å, I 17
d = 1.383 Å, I 12
d = 1.305 Å, I 10

```
Na2LiCd6
1.0
5.693 -3.283 0.000
5.693 3.283 0.000
-0.007 0.000 5.874
Na Li Cd
2 1 6
Direct
0.166 0.166 0.170 Na
0.834 0.834 0.830 Na
0.500 0.500 0.000 Li
0.142 0.679 0.313 Cd
0.321 0.321 0.688 Cd
0.321 0.858 0.687 Cd
0.679 0.142 0.313 Cd
0.679 0.679 0.312 Cd
0.858 0.321 0.687 Cd
```

# 5
Na2LiCd5: theoretical powder X-ray diffraction pattern (Cu Kα X-rays), based on a crystal structure in Alexandria, relaxed with GGA-PBE.
Intensities are scaled so that the largest is 100.

Most intense lines, 2θ = 15–90°, by angle:
d = 5.232 Å, I 17
d = 4.673 Å, I 23
d = 3.157 Å, I 18
d = 2.616 Å, I 100
d = 2.336 Å, I 18
d = 2.232 Å, I 31
d = 1.614 Å, I 22
d = 1.397 Å, I 13
d = 1.351 Å, I 23
d = 1.308 Å, I 10

```
Na2LiCd5
1.0
6.314 0.000 0.000
0.000 6.314 0.000
0.000 0.000 9.346
Na Li Cd
4 2 10
Direct
0.000 0.500 0.000 Na
0.000 0.500 0.500 Na
0.500 0.000 0.000 Na
0.500 0.000 0.500 Na
0.000 0.000 0.499 Li
0.500 0.500 0.999 Li
0.000 0.000 0.000 Cd
0.250 0.250 0.250 Cd
0.250 0.250 0.750 Cd
0.250 0.750 0.250 Cd
0.250 0.750 0.750 Cd
0.500 0.500 0.500 Cd
0.750 0.250 0.250 Cd
0.750 0.250 0.750 Cd
0.750 0.750 0.250 Cd
0.750 0.750 0.750 Cd
```

# 6
NaLiCd3: theoretical powder X-ray diffraction pattern (Cu Kα X-rays), based on a crystal structure in Alexandria, relaxed with GGA-PBE.
Intensities are scaled so that the largest is 100.

Most intense lines, 2θ = 15–90°, by angle:
d = 5.127 Å, I 23
d = 4.281 Å, I 38
d = 3.693 Å, I 27
d = 3.347 Å, I 43
d = 2.790 Å, I 100
d = 2.563 Å, I 60
d = 2.449 Å, I 42
d = 2.437 Å, I 34
d = 2.362 Å, I 83
d = 2.030 Å, I 25

```
NaLiCd3
1.0
6.809 -5.127 0.000
6.809 5.127 0.000
-5.338 0.000 6.694
Na Li Cd
4 4 12
Direct
0.003 0.997 0.750 Na
0.484 0.516 0.750 Na
0.516 0.484 0.250 Na
0.997 0.003 0.250 Na
0.094 0.609 0.509 Li
0.391 0.906 0.991 Li
0.609 0.094 0.009 Li
0.906 0.391 0.491 Li
0.122 0.607 0.205 Cd
0.147 0.652 0.883 Cd
0.249 0.252 0.757 Cd
0.252 0.249 0.257 Cd
0.348 0.853 0.617 Cd
0.393 0.878 0.295 Cd
0.607 0.122 0.705 Cd
0.652 0.147 0.383 Cd
0.748 0.751 0.743 Cd
0.751 0.748 0.243 Cd
0.853 0.348 0.117 Cd
0.878 0.393 0.795 Cd
```

Number 6 is which compound?
NaLiCd3